For Mg3HIr5, the GGA-PBE geometry in Alexandria gives the calculated powder XRD pattern in this record (Cu Kα).

Peak list (6 most intense, 10 to 90 degrees two-theta, sorted by position)
- hkl 1 0 0, 2θ = 19.72°, rel. 44
- hkl 0 2 1, 2θ = 37.14°, rel. 17
- hkl 1 2 -1, 2θ = 39.11°, rel. 100
- hkl 2 0 0, 2θ = 40.06°, rel. 32
- hkl 1 2 1, 2θ = 45.47°, rel. 44
- hkl 2 0 -2, 2θ = 46.32°, rel. 20

Atomic structure:
```
9
Lattice="4.7596 0.0000 0.0000 0.0000 5.6867 0.0000 -1.5828 0.0000 4.6131" Properties=species:S:1:pos:R:3 pbc="T T T"
Mg 0.0000 0.0000 0.0000
Mg -0.6639 1.4951 2.3367
Mg -0.6639 4.1916 2.3367
H 0.5882 0.0000 3.6103
Ir 0.0413 2.8434 0.0052
Ir 2.4212 1.5136 0.0997
Ir 2.4212 4.1732 0.0997
Ir 1.6946 2.8434 2.3299
Ir 1.7395 0.0000 2.2249
```